Diffraction record for NbO2. The X-ray powder pattern is calculated, not measured: it uses a structure optimized by DFT (PBE) and λ = 1.5418 Å (Cu Kα).

Peak list (10 most intense, 15 to 90 degrees two-theta, low angle first)
hkl  Position (°2θ)  intensity
0 0 2  17.39  100
1 0 0  34.54  22
1 0 1  35.68  37
1 0 2  38.92  19
1 0 3  43.88  52
1 0 5  57.45  25
1 1 0  61.89  14
1 1 2  64.82  16
2 0 3  78.93  8
2 0 5  89.48  7

Structure:
Unit cell a=2.9983 b=2.9983 c=10.1979 alpha=90.00 beta=90.00 gamma=120.00
Space group P6_3/mmc (No. 194)
Asymmetric unit:
Nb (0.3333, 0.6667, 0.2500) [2 per cell]
O (0.3333, 0.6667, 0.6333) [4 per cell]

Diffraction record for GaCuBr3. The X-ray powder pattern is calculated, not measured: it uses a structure optimized by DFT (PBE) and λ = 1.5418 Å (Cu Kα).

Peak list (10 most intense, 15 to 90 degrees two-theta, low angle first)
hkl  Position (°2θ)  intensity
2 0 0  23.28  69
2 1 1  27.69  100
2 0 2  29.84  46
2 2 0  33.15  57
3 1 0  37.20  44
0 0 4  37.32  53
2 1 3  38.46  41
3 1 2  41.81  47
2 2 4  50.77  34
4 2 0  53.67  64

Structure:
Unit cell a=7.643 b=7.643 c=9.637 alpha=90.00 beta=90.00 gamma=90.00
Space group I4/mcm (No. 140)
Asymmetric unit:
Ga (0.000, 0.000, 0.000) [4 per cell]
Cu (0.000, 0.500, 0.250) [4 per cell]
Br (0.000, 0.000, 0.250) [4 per cell]
Br (0.152, 0.348, 0.000) [8 per cell]

Diffraction record for Zr2V3Ru. The X-ray powder pattern is calculated, not measured: it uses a structure optimized by DFT (PBE) and λ = 1.5418 Å (Cu Kα).

Peak list (10 most intense, 15 to 90 degrees two-theta, low angle first)
hkl  Position (°2θ)  intensity
1 1 0  33.80  57
1 0 3  38.19  51
1 1 2  40.46  100
2 0 1  40.79  41
0 0 4  43.97  11
3 0 0  60.47  11
2 1 3  63.39  20
3 0 2  64.99  23
2 0 5  70.32  17
2 2 0  71.08  27

Structure:
Unit cell a=5.3034 b=5.3034 c=8.2375 alpha=90.00 beta=90.00 gamma=120.00
Space group P6_3/mmc (No. 194)
Asymmetric unit:
Zr (0.3333, 0.6667, 0.0596) [4 per cell]
V (0.1694, 0.3389, 0.7500) [6 per cell]
Ru (0.0000, 0.0000, 0.0000) [2 per cell]

Diffraction record for NaAlGeO4. The X-ray powder pattern is calculated, not measured: it uses a structure optimized by DFT (PBE) and λ = 1.5418 Å (Cu Kα).

Peak list (10 most intense, 15 to 90 degrees two-theta, low angle first)
hkl  Position (°2θ)  intensity
0 2 1  19.61  100
0 0 2  19.81  84
0 4 0  34.20  50
0 2 3  34.55  84
1 2 1  37.00  78
1 0 2  37.11  40
1 3 1  41.88  24
1 4 2  51.35  46
1 0 4  51.70  36
1 4 4  63.45  33

Structure:
Unit cell a=2.879 b=10.488 c=8.963 alpha=90.00 beta=90.00 gamma=90.00
Space group Pmc2_1 (No. 26)
Asymmetric unit:
Na (0.000, 0.092, 0.000) [2 per cell]
Na (0.500, 0.401, 0.516) [2 per cell]
Al (0.500, 0.147, 0.681) [2 per cell]
Al (0.500, 0.361, 0.194) [2 per cell]
Ge (0.000, 0.138, 0.317) [2 per cell]
Ge (0.000, 0.351, 0.844) [2 per cell]
O (0.000, 0.035, 0.738) [2 per cell]
O (0.000, 0.265, 0.651) [2 per cell]
O (0.000, 0.321, 0.329) [2 per cell]
O (0.000, 0.400, 0.055) [2 per cell]
O (0.500, 0.103, 0.461) [2 per cell]
O (0.500, 0.174, 0.180) [2 per cell]
O (0.500, 0.233, 0.879) [2 per cell]
O (0.500, 0.464, 0.785) [2 per cell]